The following is a simulated PXRD pattern of Sr2NbSbO6. It was derived from a DFT-relaxed cell (GGA-PBE, the Materials Project), using Cu Kα (weighted mean of Kα1 and Kα2).
Lines closer than 0.1° are merged.

Structural model:
Lattice parameters (Å, degrees): 8.4887 8.4887 8.4887 90.00 90.00 90.00
Space group Fm-3m (No. 225)
One atom of each set of equivalent atoms:
Sr 0.2500 0.2500 0.2500 (multiplicity 8)
Nb 0.0000 0.0000 0.0000 (multiplicity 4)
Sb 0.0000 0.0000 0.5000 (multiplicity 4)
O 0.0000 0.0000 0.2365 (multiplicity 24)

Peak list (10 most intense, 2θ from 10° to 80°, in order of falling intensity)
(2 2 0), 2θ 29.8, I 100; (4 2 2), 2θ 52.8, I 40; (4 0 0), 2θ 42.6, I 34; (4 4 0), 2θ 61.8, I 21; (6 2 0), 2θ 70.1, I 18; (4 4 4), 2θ 78.0, I 7; (2 0 0), 2θ 20.9, I 6; (4 2 0), 2θ 47.9, I 2; (2 2 2), 2θ 36.7, I 1; (3 1 1), 2θ 35.1, I 1

The following is a simulated PXRD pattern of Sr2NbSbO6. It was derived from a DFT-relaxed cell (GGA-PBE, the Materials Project), using Cu Kα (weighted mean of Kα1 and Kα2).
Lines closer than 0.1° are merged.

Structural model:
Lattice parameters (Å, degrees): 8.4154 8.4154 8.4154 90.00 90.00 90.00
Space group Pn-3 (No. 201, origin choice 2)
One atom of each set of equivalent atoms:
Sr 0.2500 0.2500 0.2500 (multiplicity 2)
Sr 0.2500 0.2500 0.7500 (multiplicity 6)
Nb 0.0000 0.0000 0.0000 (multiplicity 4)
Sb 0.0000 0.0000 0.5000 (multiplicity 4)
O 0.0352 0.5422 0.7345 (multiplicity 24)

Peak list (10 most intense, 2θ from 10° to 80°, in order of falling intensity)
(2 2 0), 2θ 30.0, I 100; (4 2 2), 2θ 53.3, I 45; (4 0 0), 2θ 43.0, I 30; (6 2 0), 2θ 70.8, I 18; (4 4 0), 2θ 62.4, I 17; (4 4 4), 2θ 78.8, I 5; (2 0 0), 2θ 21.1, I 5; (4 2 0), 2θ 48.4, I 2; (3 0 1), 2θ 33.7, I 1; (3 1 2), 2θ 40.1, I 1

The following is a simulated PXRD pattern of TiNbSbO6. It was derived from a DFT-relaxed cell (GGA-PBE, the Materials Project), using Cu Kα (weighted mean of Kα1 and Kα2).
Lines closer than 0.1° are merged.

Structural model:
Lattice parameters (Å, degrees): 4.9170 5.6136 8.7339 91.68 106.32 90.65
Space group P-1 (No. 2)
One atom of each set of equivalent atoms:
Ti 0.0673 0.3200 0.1518 (multiplicity 2)
Nb 0.4128 0.1838 0.8494 (multiplicity 2)
Sb 0.3054 0.7439 0.5012 (multiplicity 2)
O 0.0942 0.9245 0.7794 (multiplicity 2)
O 0.1784 0.4344 0.7776 (multiplicity 2)
O 0.2195 0.6546 0.0601 (multiplicity 2)
O 0.3397 0.1556 0.0631 (multiplicity 2)
O 0.3451 0.4158 0.3624 (multiplicity 2)
O 0.4803 0.0851 0.6350 (multiplicity 2)

Peak list (10 most intense, 2θ from 10° to 80°, in order of falling intensity)
(-1 1 2), 2θ 29.2, I 100; (1 -1 1), 2θ 28.5, I 100; (1 1 1), 2θ 29.4, I 99; (1 1 -2), 2θ 28.8, I 97; (0 0 3), 2θ 32.1, I 73; (0 2 0), 2θ 31.9, I 49; (1 0 0), 2θ 18.8, I 43; (2 0 2), 2θ 49.4, I 43; (1 1 -1), 2θ 24.7, I 32; (0 2 3), 2θ 46.7, I 32

The following is a simulated PXRD pattern of Ti2Nb2Sb3O14. It was derived from a DFT-relaxed cell (GGA-PBE, the Materials Project), using Cu Kα (weighted mean of Kα1 and Kα2).
Lines closer than 0.1° are merged.

Structural model:
Lattice parameters (Å, degrees): 40.1304 4.9873 5.6318 90.00 92.34 90.00
Space group C2/c (No. 15)
One atom of each set of equivalent atoms:
Ti 0.2208 0.2197 0.1803 (multiplicity 8)
Nb 0.0741 0.2472 0.3611 (multiplicity 8)
Sb 0.0000 0.1992 0.7500 (multiplicity 4)
Sb 0.1503 0.3109 0.7546 (multiplicity 8)
O 0.0282 0.0806 0.4287 (multiplicity 8)
O 0.0575 0.4834 0.1286 (multiplicity 8)
O 0.0905 0.0341 0.6763 (multiplicity 8)
O 0.1200 0.4219 0.4192 (multiplicity 8)
O 0.1758 0.4084 0.0811 (multiplicity 8)
O 0.2034 0.0333 0.4198 (multiplicity 8)
O 0.2375 0.4533 0.8448 (multiplicity 8)

Peak list (10 most intense, 2θ from 10° to 80°, in order of falling intensity)
(7 1 -1), 2θ 28.2, I 100; (7 1 1), 2θ 28.9, I 83; (14 0 0), 2θ 31.2, I 33; (12 0 0), 2θ 26.6, I 32; (3 1 -1), 2θ 24.6, I 29; (0 0 2), 2θ 31.8, I 20; (3 1 0), 2θ 19.0, I 19; (14 2 0), 2θ 48.4, I 18; (0 2 0), 2θ 36.0, I 14; (10 2 -1), 2θ 45.4, I 13

The following is a simulated PXRD pattern of Sr2ScNbO6. It was derived from a DFT-relaxed cell (GGA-PBE, the Materials Project), using Cu Kα (weighted mean of Kα1 and Kα2).
Lines closer than 0.1° are merged.

Structural model:
Lattice parameters (Å, degrees): 5.7667 5.7649 9.9683 90.00 125.27 90.00
Space group P2_1/c (No. 14)
One atom of each set of equivalent atoms:
Sr 0.2464 0.0160 0.2498 (multiplicity 4)
Sc 0.5000 0.0000 0.0000 (multiplicity 2)
Nb 0.0000 0.0000 0.5000 (multiplicity 2)
O 0.1875 0.2305 0.9685 (multiplicity 4)
O 0.2377 0.7197 0.9691 (multiplicity 4)
O 0.3038 0.0089 0.7440 (multiplicity 4)

Peak list (10 most intense, 2θ from 10° to 80°, in order of falling intensity)
(1 1 1), 2θ 31.0, I 100; (3 1 -5), 2θ 55.2, I 39; (0 0 4), 2θ 44.5, I 35; (0 4 0), 2θ 64.7, I 13; (3 3 -1), 2θ 73.5, I 11; (1 0 0), 2θ 18.9, I 8; (0 2 2), 2θ 38.3, I 7; (2 2 -6), 2θ 64.8, I 6; (1 1 -7), 2θ 73.6, I 6; (1 0 2), 2θ 36.6, I 5

The following is a simulated PXRD pattern of Nb2Se4O13. It was derived from a DFT-relaxed cell (GGA-PBE, the Materials Project), using Cu Kα (weighted mean of Kα1 and Kα2).
Lines closer than 0.1° are merged.

Structural model:
Lattice parameters (Å, degrees): 11.6926 6.8997 7.7575 90.00 109.18 90.00
Space group Pc (No. 7)
One atom of each set of equivalent atoms:
Nb 0.0000 0.0044 0.0000 (multiplicity 2)
Nb 0.6515 0.4929 0.1154 (multiplicity 2)
Se 0.3255 0.0717 0.2219 (multiplicity 2)
Se 0.3409 0.4855 0.5664 (multiplicity 2)
Se 0.6657 0.0632 0.8503 (multiplicity 2)
Se 0.9868 0.4378 0.2624 (multiplicity 2)
O 0.0057 0.2841 0.0980 (multiplicity 2)
O 0.1782 0.0176 0.6128 (multiplicity 2)
O 0.2356 0.4210 0.3738 (multiplicity 2)
O 0.3254 0.2450 0.0396 (multiplicity 2)
O 0.4103 0.0988 0.6742 (multiplicity 2)
O 0.4715 0.4753 0.4969 (multiplicity 2)
O 0.6435 0.2164 0.0136 (multiplicity 2)
O 0.6458 0.4224 0.3376 (multiplicity 2)
O 0.6683 0.2192 0.6739 (multiplicity 2)
O 0.8174 0.0129 0.9467 (multiplicity 2)
O 0.8328 0.4798 0.1719 (multiplicity 2)
O 0.9892 0.2838 0.4436 (multiplicity 2)
O 0.9968 0.0768 0.7740 (multiplicity 2)

Peak list (10 most intense, 2θ from 10° to 80°, in order of falling intensity)
(1 1 -2), 2θ 26.4, I 100; (3 0 0), 2θ 24.2, I 90; (0 2 0), 2θ 25.8, I 51; (3 2 0), 2θ 35.7, I 21; (4 1 -2), 2θ 36.1, I 20; (2 1 2), 2θ 36.0, I 19; (6 0 0), 2θ 49.5, I 18; (0 1 2), 2θ 27.6, I 15; (2 2 -1), 2θ 30.9, I 13; (7 1 -2), 2θ 57.0, I 13

The following is a simulated PXRD pattern of Sm3NbSe3O4. It was derived from a DFT-relaxed cell (GGA-PBE, the Materials Project), using Cu Kα (weighted mean of Kα1 and Kα2).
Lines closer than 0.1° are merged.

Structural model:
Lattice parameters (Å, degrees): 6.9498 7.8104 14.9901 90.00 90.00 90.00
Space group Pnma (No. 62)
One atom of each set of equivalent atoms:
Sm 0.2135 0.0067 0.1534 (multiplicity 8)
Sm 0.2167 0.2500 0.9177 (multiplicity 4)
Nb 0.1750 0.7500 0.9322 (multiplicity 4)
Se 0.0000 0.0000 0.5000 (multiplicity 4)
Se 0.0030 0.2500 0.7284 (multiplicity 4)
Se 0.0507 0.2500 0.2975 (multiplicity 4)
O 0.1136 0.5266 0.8861 (multiplicity 8)
O 0.1322 0.2500 0.0682 (multiplicity 4)
O 0.1423 0.7500 0.0621 (multiplicity 4)

Peak list (10 most intense, 2θ from 10° to 80°, in order of falling intensity)
(1 2 2), 2θ 28.8, I 100; (2 2 2), 2θ 36.6, I 48; (1 0 4), 2θ 27.0, I 40; (0 2 6), 2θ 43.0, I 36; (2 0 4), 2θ 35.2, I 30; (1 2 3), 2θ 31.8, I 30; (0 4 0), 2θ 46.5, I 24; (3 0 1), 2θ 39.4, I 19; (3 2 7), 2θ 63.8, I 19; (3 2 2), 2θ 47.2, I 17

The following is a simulated PXRD pattern of NbSi4O13. It was derived from a DFT-relaxed cell (GGA-PBE, the Materials Project), using Cu Kα (weighted mean of Kα1 and Kα2).
Lines closer than 0.1° are merged.

Structural model:
Lattice parameters (Å, degrees): 7.5983 9.1025 9.9995 90.00 107.98 90.00
Space group P2_1/m (No. 11)
One atom of each set of equivalent atoms:
Nb 0.0852 0.2500 0.3975 (multiplicity 2)
Si 0.2681 0.0027 0.6895 (multiplicity 4)
Si 0.4124 0.2500 0.9159 (multiplicity 2)
Si 0.4395 0.2500 0.2415 (multiplicity 2)
O 0.0000 0.0000 0.0000 (multiplicity 2)
O 0.0058 0.7500 0.4249 (multiplicity 2)
O 0.0892 0.5981 0.6878 (multiplicity 4)
O 0.2242 0.1000 0.5453 (multiplicity 4)
O 0.2506 0.2500 0.2862 (multiplicity 2)
O 0.3176 0.1050 0.8292 (multiplicity 4)
O 0.3594 0.7500 0.0445 (multiplicity 2)
O 0.3822 0.2500 0.0702 (multiplicity 2)
O 0.4442 0.6025 0.6951 (multiplicity 4)

Peak list (10 most intense, 2θ from 10° to 80°, in order of falling intensity)
(1 0 -1), 2θ 12.9, I 100; (1 2 1), 2θ 26.4, I 77; (0 1 1), 2θ 13.5, I 49; (1 1 0), 2θ 15.7, I 49; (0 1 2), 2θ 21.1, I 34; (2 1 -1), 2θ 25.5, I 32; (1 1 -3), 2θ 28.8, I 15; (3 3 0), 2θ 48.2, I 14; (1 1 -1), 2θ 16.2, I 13; (0 2 0), 2θ 19.5, I 12

The following is a simulated PXRD pattern of SmNbO2. It was derived from a DFT-relaxed cell (GGA-PBE, the Materials Project), using Cu Kα (weighted mean of Kα1 and Kα2).
Lines closer than 0.1° are merged.

Structural model:
Lattice parameters (Å, degrees): 6.2862 6.2862 11.9171 90.00 90.00 90.00
Space group I4_1/amd (No. 141, origin choice 2)
One atom of each set of equivalent atoms:
Sm 0.0000 0.0000 0.0000 (multiplicity 8)
Nb 0.0000 0.0000 0.5000 (multiplicity 8)
O 0.0000 0.0275 0.1991 (multiplicity 16)

Peak list (10 most intense, 2θ from 10° to 80°, in order of falling intensity)
(2 0 2), 2θ 32.2, I 100; (2 2 0), 2θ 40.6, I 42; (0 0 4), 2θ 30.0, I 41; (2 2 4), 2θ 51.3, I 36; (2 0 6), 2θ 54.7, I 30; (4 2 2), 2θ 68.6, I 24; (4 0 4), 2θ 67.4, I 15; (4 0 0), 2θ 58.7, I 14; (1 0 1), 2θ 15.9, I 9; (2 2 8), 2θ 77.1, I 8